Diffraction record for LiMnO2. The X-ray powder pattern is computed, not measured: it uses a structure optimized by DFT (GGA+U) and Cu Kα, 1.54184 Å.

Main lines, by angle (2θ = 10–80°):
- 17.2 deg, 5.153 Å, I = 100.0
- 31.8 deg, 2.810 Å, I = 12.4
- 35.0 deg, 2.560 Å, I = 44.9
- 38.7 deg, 2.329 Å, I = 7.0
- 39.9 deg, 2.258 Å, I = 37.7
- 45.7 deg, 1.985 Å, I = 11.7
- 49.2 deg, 1.852 Å, I = 10.9
- 51.3 deg, 1.782 Å, I = 20.5
- 58.7 deg, 1.572 Å, I = 6.9
- 64.1 deg, 1.453 Å, I = 10.2

Cell and atoms:
Cell lengths 2.8759, 3.1617, 5.1718 Å; angles 94.34, 90.01, 116.86 degrees
Atoms (fractional coordinates):
Li 0.0000 0.0000 0.0000
Mn 0.3213 0.6439 0.4402
O 0.6946 0.3912 0.2016
O 0.9842 0.9675 0.6330



Diffraction record for LiFe4P3O12. The X-ray powder pattern is computed, not measured: it uses a structure optimized by DFT (GGA+U) and Cu Kα, 1.54184 Å.

Main lines, by angle (2θ = 10–80°):
- 10.6 deg, 8.337 Å, I = 34.0
- 13.5 deg, 6.558 Å, I = 33.7
- 25.7 deg, 3.472 Å, I = 59.0
- 28.3 deg, 3.158 Å, I = 100.0
- 29.9 deg, 2.991 Å, I = 24.4
- 31.9 deg, 2.803 Å, I = 99.6
- 33.2 deg, 2.700 Å, I = 22.6
- 34.2 deg, 2.624 Å, I = 30.3
- 42.2 deg, 2.143 Å, I = 20.2
- 54.9 deg, 1.672 Å, I = 23.6

Cell and atoms:
Cell lengths 8.8523, 8.8523, 6.5869 Å; angles 106.33, 106.33, 95.60 degrees
Atoms (fractional coordinates):
Li 0.0069 0.9931 0.7500
Li 0.9931 0.0069 0.2500
Fe 0.0559 0.3676 0.1257
Fe 0.2673 0.7327 0.7500
Fe 0.3676 0.0559 0.6257
Fe 0.4994 0.5006 0.7500
Fe 0.5006 0.4994 0.2500
Fe 0.6324 0.9441 0.3743
Fe 0.7327 0.2673 0.2500
Fe 0.9441 0.6324 0.8743
P 0.1112 0.3309 0.6183
P 0.2944 0.7056 0.2500
P 0.3309 0.1112 0.1183
P 0.6691 0.8888 0.8817
P 0.7056 0.2944 0.7500
P 0.8888 0.6691 0.3817
O 0.0101 0.6816 0.6130
O 0.0403 0.3929 0.8076
O 0.1490 0.1608 0.5958
O 0.1608 0.1490 0.0958
O 0.1934 0.7345 0.0368
O 0.2628 0.4630 0.6655
O 0.2655 0.8066 0.4632
O 0.2715 0.5256 0.2429
O 0.3184 0.9899 0.8870
O 0.3929 0.0403 0.3076
O 0.4630 0.2628 0.1655
O 0.4743 0.7285 0.2571
O 0.5257 0.2715 0.7429
O 0.5370 0.7372 0.8345
O 0.6071 0.9597 0.6924
O 0.6816 0.0101 0.1130
O 0.7285 0.4743 0.7571
O 0.7345 0.1934 0.5368
O 0.7372 0.5370 0.3345
O 0.8066 0.2655 0.9632
O 0.8392 0.8510 0.9042
O 0.8510 0.8392 0.4042
O 0.9597 0.6071 0.1924
O 0.9899 0.3184 0.3870



Diffraction record for LiFeF4. The X-ray powder pattern is computed, not measured: it uses a structure optimized by DFT (GGA+U) and Cu Kα, 1.54184 Å.

Main lines, by angle (2θ = 10–80°):
- 19.6 deg, 4.530 Å, I = 100.0
- 29.7 deg, 3.008 Å, I = 21.7
- 30.0 deg, 2.976 Å, I = 77.9
- 40.9 deg, 2.206 Å, I = 44.8
- 41.7 deg, 2.168 Å, I = 18.9
- 47.6 deg, 1.909 Å, I = 18.3
- 48.8 deg, 1.865 Å, I = 27.0
- 52.4 deg, 1.746 Å, I = 32.6
- 61.6 deg, 1.506 Å, I = 18.5
- 77.4 deg, 1.233 Å, I = 15.5

Cell and atoms:
Cell lengths 6.6762, 6.6762, 6.6762 Å; angles 136.59, 136.59, 63.07 degrees
Atoms (fractional coordinates):
Li 0.3750 0.1250 0.2500
Li 0.6250 0.8750 0.7500
Fe 0.1250 0.3750 0.7500
Fe 0.8750 0.6250 0.2500
F 0.0668 0.7851 0.7405
F 0.1738 0.4332 0.2183
F 0.2851 0.0446 0.7183
F 0.4554 0.6738 0.2405
F 0.5446 0.3262 0.7595
F 0.7149 0.9554 0.2817
F 0.8262 0.5668 0.7817
F 0.9332 0.2149 0.2595



Diffraction record for Na2CrF4. The X-ray powder pattern is computed, not measured: it uses a structure optimized by DFT (GGA+U) and Cu Kα, 1.54184 Å.

Main lines, by angle (2θ = 10–80°):
- 18.0 deg, 4.941 Å, I = 100.0
- 31.5 deg, 2.840 Å, I = 93.4
- 31.8 deg, 2.818 Å, I = 54.4
- 32.4 deg, 2.760 Å, I = 39.6
- 40.4 deg, 2.234 Å, I = 49.2
- 41.5 deg, 2.175 Å, I = 24.1
- 44.7 deg, 2.028 Å, I = 36.1
- 46.1 deg, 1.970 Å, I = 36.7
- 54.0 deg, 1.698 Å, I = 26.2
- 57.2 deg, 1.610 Å, I = 28.5

Cell and atoms:
Cell lengths 3.3990, 9.7023, 5.7455 Å; angles 90.00, 92.04, 90.00 degrees
Atoms (fractional coordinates):
Na 0.0160 0.1811 0.4224
Na 0.0160 0.3189 0.9224
Na 0.9840 0.6811 0.0776
Na 0.9840 0.8189 0.5776
Cr 0.5000 0.0000 0.0000
Cr 0.5000 0.5000 0.5000
F 0.0667 0.0473 0.7586
F 0.0667 0.4527 0.2586
F 0.4904 0.6941 0.3696
F 0.4904 0.8059 0.8696
F 0.5096 0.1941 0.1304
F 0.5096 0.3059 0.6304
F 0.9333 0.5473 0.7414
F 0.9333 0.9527 0.2414



Diffraction record for MnO2. The X-ray powder pattern is computed, not measured: it uses a structure optimized by DFT (GGA+U) and Cu Kα, 1.54184 Å.

Main lines, by angle (2θ = 10–80°):
- 18.7 deg, 4.758 Å, I = 100.0
- 36.2 deg, 2.485 Å, I = 33.9
- 37.8 deg, 2.379 Å, I = 8.9
- 43.9 deg, 2.062 Å, I = 32.8
- 44.0 deg, 2.057 Å, I = 16.3
- 48.1 deg, 1.890 Å, I = 9.3
- 58.2 deg, 1.585 Å, I = 9.8
- 63.9 deg, 1.457 Å, I = 16.9
- 64.0 deg, 1.455 Å, I = 8.4
- 67.2 deg, 1.394 Å, I = 6.7

Cell and atoms:
Cell lengths 5.8309, 5.8280, 5.8219 Å; angles 60.07, 60.02, 59.92 degrees
Atoms (fractional coordinates):
Mn 0.0000 0.0000 0.0000
Mn 0.0000 0.0000 0.5000
Mn 0.0000 0.5000 0.0000
Mn 0.5000 0.0000 0.0000
O 0.2055 0.7641 0.7650
O 0.2346 0.2350 0.2359
O 0.2350 0.2346 0.7945
O 0.2359 0.7945 0.2346
O 0.7641 0.2055 0.7654
O 0.7650 0.7654 0.2055
O 0.7654 0.7650 0.7641
O 0.7945 0.2359 0.2350